Entry 1:
This entry pairs a crystal structure of CaPO4 with its simulated powder diffraction line list. Radiation: CuKα. Structure: a structure optimized by DFT (GGA-PBE).
No peak broadening, texture or thermal motion is included.

The 12 most intense peaks (2θ = 10–90°), low angle first:
- d 3.480, 2θ 25.6, rel. 17
- d 3.303, 2θ 27.0, rel. 59
- d 3.079, 2θ 29.0, rel. 100
- d 2.984, 2θ 29.9, rel. 21
- d 2.903, 2θ 30.8, rel. 32
- d 2.893, 2θ 30.9, rel. 83
- d 2.644, 2θ 33.9, rel. 33
- d 2.182, 2θ 41.4, rel. 34
- d 1.966, 2θ 46.2, rel. 47
- d 1.877, 2θ 48.5, rel. 37
- d 1.778, 2θ 51.4, rel. 28
- d 1.738, 2θ 52.7, rel. 27

abc: 6.5691 6.9604 8.2051
angles: 90.00 126.38 90.00
Space group P2_1/c (No. 14)
Asymmetric unit:
Ca 0.1784 0.1569 0.2793 x4
P 0.3069 0.6620 0.1958 x4
O 0.1263 0.6637 0.6169 x4
O 0.1957 0.5052 0.2554 x4
O 0.3266 0.5975 0.0243 x4
O 0.4177 0.2117 0.1253 x4


Entry 2:
This entry pairs a crystal structure of CaPO6 with its simulated powder diffraction line list. Radiation: CuKα. Structure: a structure optimized by DFT (GGA-PBE).
No peak broadening, texture or thermal motion is included.

The 12 most intense peaks (2θ = 10–90°), low angle first:
- d 7.429, 2θ 11.9, rel. 45
- d 5.216, 2θ 17.0, rel. 39
- d 4.466, 2θ 19.9, rel. 100
- d 3.093, 2θ 28.9, rel. 62
- d 2.957, 2θ 30.2, rel. 19
- d 2.793, 2θ 32.0, rel. 21
- d 2.785, 2θ 32.1, rel. 13
- d 2.608, 2θ 34.4, rel. 20
- d 2.531, 2θ 35.5, rel. 13
- d 2.338, 2θ 38.5, rel. 21
- d 1.877, 2θ 48.5, rel. 22
- d 1.852, 2θ 49.2, rel. 16

abc: 6.0571 14.8574 6.0772
angles: 90.00 113.12 90.00
Space group C2/c (No. 15)
Asymmetric unit:
Ca 0.0000 0.1868 0.2500 x4
P 0.0000 0.3359 0.7500 x4
O 0.0691 0.2780 0.5760 x8
O 0.1074 0.4629 0.3053 x8
O 0.2237 0.3966 0.8820 x8


Entry 3:
This entry pairs a crystal structure of CaPO4 with its simulated powder diffraction line list. Radiation: CuKα. Structure: a structure optimized by DFT (GGA-PBE).
No peak broadening, texture or thermal motion is included.

The 12 most intense peaks (2θ = 10–90°), low angle first:
- d 6.818, 2θ 13.0, rel. 25
- d 3.436, 2θ 25.9, rel. 85
- d 3.409, 2θ 26.1, rel. 100
- d 3.305, 2θ 27.0, rel. 46
- d 3.037, 2θ 29.4, rel. 88
- d 2.976, 2θ 30.0, rel. 32
- d 2.960, 2θ 30.2, rel. 51
- d 2.877, 2θ 31.1, rel. 24
- d 2.624, 2θ 34.2, rel. 26
- d 2.275, 2θ 39.6, rel. 35
- d 1.917, 2θ 47.4, rel. 24
- d 1.913, 2θ 47.5, rel. 27

abc: 6.7672 6.9759 7.0260
angles: 99.70 99.95 90.15
Space group P-1 (No. 2)
Asymmetric unit:
Ca 0.0747 0.1875 0.2402 x2
Ca 0.3479 0.6776 0.1617 x2
P 0.1123 0.3032 0.7835 x2
P 0.4449 0.7987 0.7095 x2
O 0.0083 0.1561 0.8799 x2
O 0.0290 0.5230 0.2279 x2
O 0.1494 0.2124 0.5778 x2
O 0.2905 0.7953 0.8457 x2
O 0.3184 0.3737 0.9129 x2
O 0.3361 0.7925 0.4977 x2
O 0.4088 0.0234 0.2257 x2
O 0.4201 0.3825 0.2931 x2


Entry 4:
This entry pairs a crystal structure of Ca3P2O8 with its simulated powder diffraction line list. Radiation: CuKα. Structure: a structure optimized by DFT (GGA-PBE).
No peak broadening, texture or thermal motion is included.

The 12 most intense peaks (2θ = 10–90°), low angle first:
- d 2.913, 2θ 30.7, rel. 83
- d 2.657, 2θ 33.7, rel. 100
- d 2.235, 2θ 40.4, rel. 24
- d 2.092, 2θ 43.3, rel. 15
- d 2.067, 2θ 43.8, rel. 15
- d 1.963, 2θ 46.2, rel. 46
- d 1.741, 2θ 52.6, rel. 28
- d 1.579, 2θ 58.5, rel. 20
- d 1.534, 2θ 60.3, rel. 16
- d 1.329, 2θ 70.9, rel. 23
- d 1.277, 2θ 74.3, rel. 20
- d 1.134, 2θ 85.6, rel. 15

abc: 5.3143 5.3143 18.8125
angles: 90.00 90.00 120.00
Space group R-3m (No. 166, hexagonal axes)
Asymmetric unit:
Ca 0.0000 0.0000 0.0000 x3
Ca 0.0000 0.0000 0.2038 x6
P 0.0000 0.0000 0.4049 x6
O 0.0000 0.0000 0.3233 x6
O 0.0137 0.5068 0.2340 x18


Entry 5:
This entry pairs a crystal structure of Ca3P2O8 with its simulated powder diffraction line list. Radiation: CuKα. Structure: a structure optimized by DFT (GGA-PBE).
No peak broadening, texture or thermal motion is included.

The 12 most intense peaks (2θ = 10–90°), low angle first:
- d 4.756, 2θ 18.7, rel. 26
- d 3.988, 2θ 22.3, rel. 28
- d 3.959, 2θ 22.5, rel. 29
- d 3.796, 2θ 23.4, rel. 60
- d 2.890, 2θ 30.9, rel. 93
- d 2.868, 2θ 31.2, rel. 84
- d 2.811, 2θ 31.8, rel. 75
- d 2.628, 2θ 34.1, rel. 100
- d 1.994, 2θ 45.5, rel. 26
- d 1.980, 2θ 45.8, rel. 27
- d 1.898, 2θ 47.9, rel. 25
- d 1.585, 2θ 58.2, rel. 23

abc: 5.6217 8.9201 7.2338
angles: 90.00 90.54 90.00
Space group C2 (No. 5)
Asymmetric unit:
Ca 0.0000 0.0000 0.0000 x2
Ca 0.0052 0.6801 0.2730 x4
P 0.0000 0.0368 0.5000 x2
P 0.0000 0.3410 0.0000 x2
O 0.0118 0.9406 0.6806 x4
O 0.0195 0.4389 0.8285 x4
O 0.2252 0.2328 0.0084 x4
O 0.2262 0.1366 0.4941 x4